This entry pairs a crystal structure of Ac12Pb5N2 with its theoretical XRD peak list. Radiation: Cu Kα (λ = 1.5418 Å). Structure: a cell relaxed with GGA-PBE.

The 12 most intense peaks (10° ≤ 2θ ≤ 80°), most intense first:
h k l	d/Å	Position (°2θ)	I/Imax
4 2 -2	2.835	31.56	100
4 2 0	3.050	29.28	98
0 2 2	3.165	28.20	91
6 0 0	3.007	29.71	58
1 1 -2	4.344	20.44	43
10 2 0	1.654	55.57	35
3 1 0	4.865	18.23	33
0 4 0	2.070	43.73	33
2 0 -4	2.551	35.17	31
6 4 0	1.705	53.77	24
2 2 0	3.762	23.65	21
6 2 -6	1.524	60.79	21

Crystal structure
Lattice parameters (Å, degrees): 18.770 8.279 10.206 90.00 106.03 90.00
Space group C2/m (No. 12)
Symmetry-distinct sites (fractional):
Ac1 0.001 0.000 0.329 x4
Ac2 0.002 0.500 0.687 x4
Ac3 0.148 0.244 0.574 x8
Ac4 0.148 0.247 0.074 x8
Pb1 0.000 0.000 0.000 x2
Pb2 0.188 0.500 0.343 x4
Pb3 0.196 0.500 0.849 x4
N1 0.000 0.264 0.500 x4

***

This entry pairs a crystal structure of Ac4Pr2Pb3N2 with its theoretical XRD peak list. Radiation: Cu Kα (λ = 1.5418 Å). Structure: a cell relaxed with GGA-PBE.

The 12 most intense peaks (10° ≤ 2θ ≤ 80°), most intense first:
h k l	d/Å	Position (°2θ)	I/Imax
1 1 6	2.839	31.52	100
2 0 0	2.582	34.74	53
3 1 6	1.536	60.27	46
1 1 2	3.526	25.26	33
1 1 4	3.214	27.76	26
2 0 10	1.869	48.73	19
2 2 0	1.826	49.95	19
0 0 10	2.707	33.09	14
2 0 12	1.699	53.97	11
1 0 1	5.073	17.48	11
0 0 4	6.768	13.08	11
2 2 10	1.514	61.23	10

Crystal structure
Lattice parameters (Å, degrees): 5.165 5.165 27.071 90.00 90.00 90.00
Space group I4/mmm (No. 139)
Symmetry-distinct sites (fractional):
Ac1 0.000 0.500 0.087 x8
Pr1 0.000 0.000 0.196 x4
Pb1 0.000 0.000 0.320 x4
Pb2 0.000 0.000 0.500 x2
N1 0.000 0.000 0.109 x4

***

This entry pairs a crystal structure of Ac6RuPb2N with its theoretical XRD peak list. Radiation: Cu Kα (λ = 1.5418 Å). Structure: a cell relaxed with GGA-PBE.

The 12 most intense peaks (10° ≤ 2θ ≤ 80°), most intense first:
h k l	d/Å	Position (°2θ)	I/Imax
0 2 2	3.243	27.50	100
2 2 0	3.207	27.82	99
2 0 2	2.825	31.67	92
2 4 2	1.964	46.22	64
0 4 0	2.732	32.78	42
4 2 2	1.690	54.27	32
2 2 4	1.706	53.72	31
6 0 2	1.255	75.82	22
2 0 6	1.272	74.60	19
4 0 0	1.981	45.82	17
4 4 0	1.604	57.47	17
0 0 4	2.015	44.99	17

Crystal structure
Lattice parameters (Å, degrees): 7.922 10.929 8.061 90.00 90.00 90.00
Space group Pmmn (No. 59, origin choice 2)
Symmetry-distinct sites (fractional):
Ac1 0.001 0.250 0.010 x4
Ac2 0.008 0.250 0.505 x4
Ac3 0.250 0.015 0.270 x4
Ru1 0.250 0.750 0.259 x2
Pb1 0.250 0.505 0.750 x4
N1 0.250 0.250 0.198 x2

***

This entry pairs a crystal structure of AcSbPbN with its theoretical XRD peak list. Radiation: Cu Kα (λ = 1.5418 Å). Structure: a cell relaxed with GGA-PBE.

The 12 most intense peaks (10° ≤ 2θ ≤ 80°), most intense first:
h k l	d/Å	Position (°2θ)	I/Imax
1 0 3	2.979	30.00	100
1 1 0	2.707	33.10	44
2 1 3	1.610	57.21	34
1 1 6	1.784	51.22	23
2 0 0	1.914	47.51	16
0 0 6	2.371	37.94	14
2 0 6	1.489	62.35	13
1 0 9	1.461	63.69	10
3 1 0	1.210	79.12	7
3 0 3	1.232	77.47	7
1 0 1	3.696	24.08	7
2 2 0	1.353	69.46	5

Crystal structure
Lattice parameters (Å, degrees): 3.828 3.828 14.228 90.00 90.00 90.00
Space group I4mm (No. 107)
Symmetry-distinct sites (fractional):
Ac1 0.000 0.000 0.000 x2
Sb1 0.000 0.000 0.342 x2
Pb1 0.000 0.000 0.686 x2
N1 0.000 0.000 0.500 x2

***

This entry pairs a crystal structure of Ac2Sm4Pb3N2 with its theoretical XRD peak list. Radiation: Cu Kα (λ = 1.5418 Å). Structure: a cell relaxed with GGA-PBE.

The 12 most intense peaks (10° ≤ 2θ ≤ 80°), most intense first:
h k l	d/Å	Position (°2θ)	I/Imax
1 1 6	2.746	32.61	100
2 0 0	2.465	36.45	50
1 1 2	3.373	26.42	34
3 1 6	1.472	63.18	31
1 0 7	3.019	29.59	20
2 2 0	1.743	52.49	18
0 0 8	3.342	26.68	15
2 0 8	1.984	45.74	14
2 0 12	1.653	55.60	12
2 1 7	1.910	47.62	11
1 1 0	3.486	25.55	10
1 0 1	4.849	18.30	8

Crystal structure
Lattice parameters (Å, degrees): 4.930 4.930 26.733 90.00 90.00 90.00
Space group I4/mmm (No. 139)
Symmetry-distinct sites (fractional):
Ac1 0.000 0.000 0.191 x4
Sm1 0.000 0.500 0.081 x8
Pb1 0.000 0.000 0.329 x4
Pb2 0.000 0.000 0.500 x2
N1 0.000 0.000 0.098 x4

***

This entry pairs a crystal structure of Ac4Pm2Sb3N2 with its theoretical XRD peak list. Radiation: Cu Kα (λ = 1.5418 Å). Structure: a cell relaxed with GGA-PBE.

The 12 most intense peaks (10° ≤ 2θ ≤ 80°), most intense first:
h k l	d/Å	Position (°2θ)	I/Imax
1 1 6	2.787	32.12	100
2 0 0	2.519	35.63	52
1 1 2	3.444	25.87	46
3 1 6	1.501	61.81	31
1 1 4	3.147	28.36	27
2 2 0	1.782	51.28	19
2 0 10	1.837	49.63	18
0 0 4	6.709	13.20	15
0 0 10	2.684	33.39	14
1 1 12	1.894	48.03	13
0 0 8	3.355	26.57	12
2 0 8	2.015	45.00	12

Crystal structure
Lattice parameters (Å, degrees): 5.039 5.039 26.837 90.00 90.00 90.00
Space group I4/mmm (No. 139)
Symmetry-distinct sites (fractional):
Ac1 0.000 0.500 0.085 x8
Pm1 0.000 0.000 0.195 x4
Sb1 0.000 0.000 0.318 x4
Sb2 0.000 0.000 0.500 x2
N1 0.000 0.000 0.111 x4

***

This entry pairs a crystal structure of AcPm2SiN4 with its theoretical XRD peak list. Radiation: Cu Kα (λ = 1.5418 Å). Structure: a cell relaxed with GGA-PBE.

The 12 most intense peaks (10° ≤ 2θ ≤ 80°), most intense first:
h k l	d/Å	Position (°2θ)	I/Imax
1 1 2	2.956	30.24	100
0 2 3	3.318	26.87	78
0 4 0	2.992	29.86	68
1 3 1	2.589	34.65	57
1 3 5	1.776	51.45	46
1 3 2	2.424	37.09	32
1 1 5	1.956	46.43	29
1 5 2	1.884	48.30	24
2 4 0	1.526	60.71	20
1 7 5	1.295	73.07	20
1 1 1	3.271	27.27	20
2 2 3	1.564	59.07	18

Crystal structure
Lattice parameters (Å, degrees): 3.546 11.980 11.955 90.00 90.00 90.00
Space group Cmcm (No. 63)
Symmetry-distinct sites (fractional):
Ac1 0.000 0.088 0.250 x4
Pm1 0.000 0.368 0.043 x8
Si1 0.000 0.181 0.750 x4
N1 0.000 0.000 0.000 x4
N2 0.000 0.268 0.633 x8
N3 0.000 0.398 0.250 x4

***

This entry pairs a crystal structure of Ac2Pm4Sn3N2 with its theoretical XRD peak list. Radiation: Cu Kα (λ = 1.5418 Å). Structure: a cell relaxed with GGA-PBE.

The 12 most intense peaks (10° ≤ 2θ ≤ 80°), most intense first:
h k l	d/Å	Position (°2θ)	I/Imax
1 1 6	2.737	32.72	100
2 0 0	2.466	36.43	54
1 1 2	3.373	26.43	50
3 1 6	1.471	63.23	32
1 0 7	3.002	29.76	20
2 2 0	1.744	52.47	19
0 0 8	3.311	26.93	19
2 0 8	1.978	45.88	19
1 0 3	4.306	20.63	17
1 1 16	1.496	62.02	14
2 1 7	1.906	47.72	11
3 1 2	1.549	59.69	11

Crystal structure
Lattice parameters (Å, degrees): 4.932 4.932 26.490 90.00 90.00 90.00
Space group I4/mmm (No. 139)
Symmetry-distinct sites (fractional):
Ac1 0.000 0.000 0.192 x4
Pm1 0.000 0.500 0.081 x8
Sn1 0.000 0.000 0.330 x4
Sn2 0.000 0.000 0.500 x2
N1 0.000 0.000 0.099 x4

***

Q: Which formula does entry 3 have?
A: Ac6RuPb2N

***

Please write out number 7 again, unchanged.
This entry pairs a crystal structure of AcPm2SiN4 with its theoretical XRD peak list. Radiation: Cu Kα (λ = 1.5418 Å). Structure: a cell relaxed with GGA-PBE.

The 12 most intense peaks (10° ≤ 2θ ≤ 80°), most intense first:
h k l	d/Å	Position (°2θ)	I/Imax
1 1 2	2.956	30.24	100
0 2 3	3.318	26.87	78
0 4 0	2.992	29.86	68
1 3 1	2.589	34.65	57
1 3 5	1.776	51.45	46
1 3 2	2.424	37.09	32
1 1 5	1.956	46.43	29
1 5 2	1.884	48.30	24
2 4 0	1.526	60.71	20
1 7 5	1.295	73.07	20
1 1 1	3.271	27.27	20
2 2 3	1.564	59.07	18

Crystal structure
Lattice parameters (Å, degrees): 3.546 11.980 11.955 90.00 90.00 90.00
Space group Cmcm (No. 63)
Symmetry-distinct sites (fractional):
Ac1 0.000 0.088 0.250 x4
Pm1 0.000 0.368 0.043 x8
Si1 0.000 0.181 0.750 x4
N1 0.000 0.000 0.000 x4
N2 0.000 0.268 0.633 x8
N3 0.000 0.398 0.250 x4

***

Repeat the third record exactly.
This entry pairs a crystal structure of Ac6RuPb2N with its theoretical XRD peak list. Radiation: Cu Kα (λ = 1.5418 Å). Structure: a cell relaxed with GGA-PBE.

The 12 most intense peaks (10° ≤ 2θ ≤ 80°), most intense first:
h k l	d/Å	Position (°2θ)	I/Imax
0 2 2	3.243	27.50	100
2 2 0	3.207	27.82	99
2 0 2	2.825	31.67	92
2 4 2	1.964	46.22	64
0 4 0	2.732	32.78	42
4 2 2	1.690	54.27	32
2 2 4	1.706	53.72	31
6 0 2	1.255	75.82	22
2 0 6	1.272	74.60	19
4 0 0	1.981	45.82	17
4 4 0	1.604	57.47	17
0 0 4	2.015	44.99	17

Crystal structure
Lattice parameters (Å, degrees): 7.922 10.929 8.061 90.00 90.00 90.00
Space group Pmmn (No. 59, origin choice 2)
Symmetry-distinct sites (fractional):
Ac1 0.001 0.250 0.010 x4
Ac2 0.008 0.250 0.505 x4
Ac3 0.250 0.015 0.270 x4
Ru1 0.250 0.750 0.259 x2
Pb1 0.250 0.505 0.750 x4
N1 0.250 0.250 0.198 x2